[1]
Li2AcAgAu5: computed powder diffractogram (λ = 1.5418 Å (Cu Kα)), based on the GGA-PBE geometry in Alexandria.
Intensities are scaled so that the largest is 100.

Cell and atoms:
```
data_Li2AcAgAu5
_cell_length_a 4.943
_cell_length_b 4.943
_cell_length_c 7.439
_cell_angle_alpha 90.00
_cell_angle_beta 90.00
_cell_angle_gamma 90.00
_symmetry_space_group_name_H-M 'P 4/m m m'
_symmetry_Int_Tables_number 123
_symmetry_space_group_name_Hall '-P 4 2'
loop_
_atom_site_label
_atom_site_fract_x
_atom_site_fract_y
_atom_site_fract_z
Li1 0.000 0.000 0.160
Ac1 0.500 0.500 0.500
Ag1 0.500 0.500 0.000
Au1 0.000 0.000 0.500
Au2 0.000 0.500 0.208
```

The 10 most intense peaks (10° ≤ 2θ ≤ 90°), in order of rising 2θ:
index, 2theta, d [Å], intensity
1 1 1, 28.2, 3.163, 30.6
1 1 2, 35.2, 2.547, 100.0
0 0 3, 36.2, 2.480, 12.2
2 0 0, 36.4, 2.471, 55.7
2 2 0, 52.3, 1.749, 37.3
2 0 4, 62.5, 1.486, 11.8
3 1 2, 64.7, 1.441, 34.8
2 2 3, 65.3, 1.428, 9.1
1 1 5, 68.5, 1.369, 11.7
4 2 0, 88.4, 1.105, 13.9

***

[2]
Tm2Zr3Sc4: computed powder diffractogram (λ = 1.5418 Å (Cu Kα)), based on the GGA-PBE geometry in Alexandria.
Intensities are scaled so that the largest is 100.

Cell and atoms:
```
data_Tm2Zr3Sc4
_cell_length_a 3.3203
_cell_length_b 3.3203
_cell_length_c 23.9993
_cell_angle_alpha 90.00
_cell_angle_beta 90.00
_cell_angle_gamma 120.00
_symmetry_space_group_name_H-M 'P -6 m 2'
_symmetry_Int_Tables_number 187
_symmetry_space_group_name_Hall 'P -6 2'
loop_
_atom_site_label
_atom_site_fract_x
_atom_site_fract_y
_atom_site_fract_z
Tm1 0.0000 0.0000 0.1107
Zr1 0.0000 0.0000 0.3329
Zr2 0.6667 0.3333 0.0000
Sc1 0.6667 0.3333 0.2277
Sc2 0.6667 0.3333 0.4366
```

The 10 most intense peaks (10° ≤ 2θ ≤ 90°), in order of rising 2θ:
index, 2theta, d [Å], intensity
0 0 4, 14.8, 6.000, 27.1
1 0 0, 31.1, 2.875, 52.2
0 0 9, 33.6, 2.667, 42.3
1 0 4, 34.6, 2.593, 100.0
1 0 5, 36.4, 2.467, 94.0
1 0 9, 46.4, 1.955, 34.2
1 1 0, 55.3, 1.660, 30.4
1 0 13, 59.5, 1.553, 18.5
1 0 14, 63.1, 1.472, 19.1
1 1 9, 66.3, 1.409, 33.5

***

What did the second record say?
Tm2Zr3Sc4: computed powder diffractogram (λ = 1.5418 Å (Cu Kα)), based on the GGA-PBE geometry in Alexandria.
Intensities are scaled so that the largest is 100.

Cell and atoms:
```
data_Tm2Zr3Sc4
_cell_length_a 3.3203
_cell_length_b 3.3203
_cell_length_c 23.9993
_cell_angle_alpha 90.00
_cell_angle_beta 90.00
_cell_angle_gamma 120.00
_symmetry_space_group_name_H-M 'P -6 m 2'
_symmetry_Int_Tables_number 187
_symmetry_space_group_name_Hall 'P -6 2'
loop_
_atom_site_label
_atom_site_fract_x
_atom_site_fract_y
_atom_site_fract_z
Tm1 0.0000 0.0000 0.1107
Zr1 0.0000 0.0000 0.3329
Zr2 0.6667 0.3333 0.0000
Sc1 0.6667 0.3333 0.2277
Sc2 0.6667 0.3333 0.4366
```

The 10 most intense peaks (10° ≤ 2θ ≤ 90°), in order of rising 2θ:
index, 2theta, d [Å], intensity
0 0 4, 14.8, 6.000, 27.1
1 0 0, 31.1, 2.875, 52.2
0 0 9, 33.6, 2.667, 42.3
1 0 4, 34.6, 2.593, 100.0
1 0 5, 36.4, 2.467, 94.0
1 0 9, 46.4, 1.955, 34.2
1 1 0, 55.3, 1.660, 30.4
1 0 13, 59.5, 1.553, 18.5
1 0 14, 63.1, 1.472, 19.1
1 1 9, 66.3, 1.409, 33.5